# 1
Computed PXRD pattern
Compound: La2Pm3Cd3
Radiation: Cu Kα (λ = 1.5418 Å)
Structure: a crystal structure in Alexandria, relaxed with GGA-PBE
Kinematic intensities with the Lorentz-polarization factor, no thermal factor.

Principal peaks in the range 15 to 90 degrees two-theta, by angle:
- 2θ = 31.32°, I 22
- 2θ = 32.23°, I 100
- 2θ = 32.56°, I 26
- 2θ = 45.80°, I 15
- 2θ = 46.65°, I 10
- 2θ = 56.33°, I 11
- 2θ = 57.89°, I 18
- 2θ = 58.04°, I 10
- 2θ = 67.44°, I 9
- 2θ = 77.36°, I 8

Cell and atoms:
```
La2Pm3Cd3
1.0
-1.947 2.750 11.424
1.947 -2.750 11.424
1.947 2.750 -11.424
La Pm Cd
2 3 3
Cartesian
0.000 0.000 5.318
0.000 0.000 17.530
0.000 0.000 0.000
1.947 0.000 8.690
0.000 2.750 2.734
1.947 0.000 2.612
0.000 0.000 11.424
0.000 2.750 8.812
```

# 2
Computed PXRD pattern
Compound: Cs2TlPbAu
Radiation: Cu Kα (λ = 1.5418 Å)
Structure: a crystal structure in Alexandria, relaxed with GGA-PBE
Kinematic intensities with the Lorentz-polarization factor, no thermal factor.

Principal peaks in the range 15 to 90 degrees two-theta, by angle:
- 2θ = 20.05°, I 19
- 2θ = 24.43°, I 44
- 2θ = 24.97°, I 29
- 2θ = 25.69°, I 23
- 2θ = 28.97°, I 29
- 2θ = 32.09°, I 100
- 2θ = 34.82°, I 63
- 2θ = 43.78°, I 22
- 2θ = 50.07°, I 23
- 2θ = 60.72°, I 33

Cell and atoms:
```
Cs2TlPbAu
1.0
5.153 0.000 0.000
0.000 5.153 0.000
0.000 0.000 17.338
Cs Tl Pb Au
4 2 2 2
Cartesian
1.288 1.288 1.893
1.288 1.288 11.935
3.864 3.864 5.403
3.864 3.864 15.445
1.288 1.288 6.559
3.864 3.864 10.779
1.288 3.864 8.669
3.864 1.288 8.669
1.288 1.288 15.563
3.864 3.864 1.775
```

# 3
Computed PXRD pattern
Compound: Nd3Tm5Sc
Radiation: Cu Kα (λ = 1.5418 Å)
Structure: a crystal structure in Alexandria, relaxed with GGA-PBE
Kinematic intensities with the Lorentz-polarization factor, no thermal factor.

Principal peaks in the range 15 to 90 degrees two-theta, by angle:
- 2θ = 29.10°, I 71
- 2θ = 29.30°, I 52
- 2θ = 31.37°, I 100
- 2θ = 32.85°, I 30
- 2θ = 37.67°, I 13
- 2θ = 38.09°, I 20
- 2θ = 43.68°, I 22
- 2θ = 47.01°, I 18
- 2θ = 53.27°, I 18
- 2θ = 59.86°, I 14

Cell and atoms:
```
Nd3Tm5Sc
1.0
-4.311 4.311 7.605
4.311 -4.311 7.605
4.311 4.311 -7.605
Nd Tm Sc
6 10 2
Cartesian
5.333 1.023 0.000
0.000 0.000 3.802
1.023 3.288 0.000
3.288 1.023 7.605
0.000 0.000 11.407
-1.023 3.288 7.605
0.000 0.000 0.000
2.532 1.779 -2.133
2.532 -1.779 5.472
2.532 1.779 2.133
2.532 -1.779 9.737
0.000 0.000 7.605
1.779 6.090 -2.133
1.779 2.532 5.472
1.779 6.090 2.133
1.779 2.532 9.737
4.311 0.000 3.802
0.000 4.311 3.802
```

# 4
Computed PXRD pattern
Compound: Al4CdSe7
Radiation: Cu Kα (λ = 1.5418 Å)
Structure: a crystal structure in Alexandria, relaxed with GGA-PBE
Kinematic intensities with the Lorentz-polarization factor, no thermal factor.

Principal peaks in the range 15 to 90 degrees two-theta, by angle:
- 2θ = 18.80°, I 32
- 2θ = 25.59°, I 67
- 2θ = 25.98°, I 50
- 2θ = 27.41°, I 93
- 2θ = 29.09°, I 100
- 2θ = 29.44°, I 31
- 2θ = 44.86°, I 32
- 2θ = 45.59°, I 56
- 2θ = 49.51°, I 53
- 2θ = 54.02°, I 43

Cell and atoms:
```
Al4CdSe7
1.0
16.163 0.000 0.000
0.000 6.858 0.000
0.000 0.000 6.508
Al Cd Se
8 2 14
Cartesian
2.032 1.187 0.000
3.940 2.257 3.047
4.141 4.602 6.301
6.050 5.671 3.254
10.113 5.671 3.254
12.022 4.602 6.301
12.222 2.257 3.047
14.131 1.187 0.000
0.000 4.500 5.987
8.081 2.358 2.733
0.000 1.970 5.389
1.894 1.363 2.333
2.201 5.820 5.498
4.002 2.282 5.527
4.079 4.576 2.273
5.880 1.038 2.244
6.187 5.495 5.587
8.081 4.888 2.135
9.975 5.495 5.587
10.282 1.038 2.244
12.083 4.576 2.273
12.161 2.282 5.527
13.962 5.820 5.498
14.269 1.363 2.333
```

- What is the formula in the first record?
  La2Pm3Cd3